For SnPd, a DFT-relaxed cell (GGA-PBE, the Materials Project) gives the theoretical powder diffraction line list in this record (Cu Kα).

Most intense lines, 10° ≤ 2θ ≤ 90°, by angle:
2θ (°)	d (Å)	I/Imax
30.22	2.958	78.0
31.08	2.878	49.7
36.51	2.461	24.8
38.86	2.318	62.6
39.17	2.300	100.0
39.86	2.262	27.6
45.17	2.007	26.4
46.45	1.955	38.6
48.25	1.886	32.9
78.46	1.219	21.2

Atomic structure:
Cell: 6.336 3.909 6.461 Å, 90.00 90.00 90.00°
Atoms (fractional coordinates):
Sn  0.192  0.250  0.091
Sn  0.308  0.750  0.591
Sn  0.692  0.250  0.409
Sn  0.808  0.750  0.909
Pd  0.010  0.250  0.687
Pd  0.490  0.750  0.187
Pd  0.510  0.250  0.813
Pd  0.990  0.750  0.313

For SnTePd, a DFT-relaxed cell (GGA-PBE, the Materials Project) gives the theoretical powder diffraction line list in this record (Cu Kα).

Most intense lines, 10° ≤ 2θ ≤ 90°, by angle:
2θ (°)	d (Å)	I/Imax
27.25	3.273	30.2
29.88	2.990	38.3
30.41	2.939	70.2
30.61	2.920	100.0
32.86	2.725	71.1
39.31	2.292	25.0
43.15	2.097	43.4
43.83	2.065	30.1
45.05	2.013	54.1
45.78	1.982	32.5

Atomic structure:
Cell: 6.685 6.720 13.091 Å, 90.00 90.00 90.00°
Atoms (fractional coordinates):
Sn  0.141  0.182  0.065
Sn  0.141  0.318  0.565
Sn  0.359  0.682  0.065
Sn  0.359  0.818  0.565
Sn  0.641  0.182  0.435
Sn  0.641  0.318  0.935
Sn  0.859  0.682  0.435
Sn  0.859  0.818  0.935
Te  0.128  0.552  0.822
Te  0.128  0.948  0.322
Te  0.372  0.052  0.822
Te  0.372  0.448  0.322
Te  0.628  0.552  0.678
Te  0.628  0.948  0.178
Te  0.872  0.052  0.678
Te  0.872  0.448  0.178
Pd  0.003  0.678  0.628
Pd  0.003  0.822  0.128
Pd  0.497  0.178  0.628
Pd  0.497  0.322  0.128
Pd  0.503  0.678  0.872
Pd  0.503  0.822  0.372
Pd  0.997  0.178  0.872
Pd  0.997  0.322  0.372

For TmSnPd, a DFT-relaxed cell (GGA-PBE, the Materials Project) gives the theoretical powder diffraction line list in this record (Cu Kα).

Most intense lines, 10° ≤ 2θ ≤ 90°, by angle:
2θ (°)	d (Å)	I/Imax
33.17	2.701	89.0
35.90	2.501	100.0
40.89	2.207	36.4
43.24	2.093	16.3
47.66	1.908	20.3
55.54	1.655	15.0
61.06	1.518	21.1
64.56	1.443	21.3
66.23	1.411	26.7
76.09	1.251	16.9

Atomic structure:
Cell: 7.645 7.645 3.816 Å, 90.00 90.00 120.00°
Atoms (fractional coordinates):
Tm  0.000  0.401  0.000
Tm  0.401  0.000  0.000
Tm  0.599  0.599  0.000
Sn  0.000  0.736  0.500
Sn  0.264  0.264  0.500
Sn  0.736  0.000  0.500
Pd  0.000  0.000  0.000
Pd  0.333  0.667  0.500
Pd  0.667  0.333  0.500

For YTm3Sn4Pd8, a DFT-relaxed cell (GGA-PBE, the Materials Project) gives the theoretical powder diffraction line list in this record (Cu Kα).

Most intense lines, 10° ≤ 2θ ≤ 90°, by angle:
2θ (°)	d (Å)	I/Imax
22.72	3.914	1.2
26.34	3.384	2.8
37.49	2.399	100.0
37.70	2.386	98.4
54.22	1.692	34.4
67.64	1.385	17.7
67.78	1.383	35.1
68.19	1.375	17.2
79.98	1.200	11.2
80.50	1.193	11.0

Atomic structure:
Cell: 15.790 15.790 15.790 Å, 17.48 17.48 17.48°
Atoms (fractional coordinates):
Y  0.000  0.000  0.000
Tm  0.250  0.250  0.250
Tm  0.500  0.500  0.500
Tm  0.750  0.750  0.750
Sn  0.125  0.125  0.125
Sn  0.375  0.375  0.375
Sn  0.625  0.625  0.625
Sn  0.875  0.875  0.875
Pd  0.063  0.063  0.063
Pd  0.187  0.187  0.187
Pd  0.312  0.312  0.312
Pd  0.438  0.438  0.438
Pd  0.562  0.562  0.562
Pd  0.688  0.688  0.688
Pd  0.813  0.813  0.813
Pd  0.937  0.937  0.937

For U2SnPd2, a DFT-relaxed cell (GGA-PBE, the Materials Project) gives the theoretical powder diffraction line list in this record (Cu Kα).

Most intense lines, 10° ≤ 2θ ≤ 90°, by angle:
2θ (°)	d (Å)	I/Imax
25.98	3.429	13.2
33.24	2.695	32.2
35.30	2.543	100.0
37.08	2.425	36.5
48.01	1.895	13.9
48.98	1.860	10.5
55.00	1.670	18.7
56.40	1.631	11.1
62.17	1.493	16.6
70.67	1.333	12.1

Atomic structure:
Cell: 7.668 7.668 3.790 Å, 90.00 90.00 90.00°
Atoms (fractional coordinates):
U  0.173  0.327  0.000
U  0.327  0.827  0.000
U  0.673  0.173  0.000
U  0.827  0.673  0.000
Sn  0.000  0.000  0.500
Sn  0.500  0.500  0.500
Pd  0.130  0.630  0.500
Pd  0.370  0.130  0.500
Pd  0.630  0.870  0.500
Pd  0.870  0.370  0.500

For USnPd, a DFT-relaxed cell (GGA-PBE, the Materials Project) gives the theoretical powder diffraction line list in this record (Cu Kα).

Most intense lines, 10° ≤ 2θ ≤ 90°, by angle:
2θ (°)	d (Å)	I/Imax
20.53	4.325	22.8
35.96	2.497	99.4
37.43	2.403	100.0
52.88	1.731	37.7
64.49	1.445	6.2
64.65	1.442	18.6
65.61	1.423	40.3
76.11	1.251	23.8
76.25	1.249	11.8
88.18	1.108	19.6

Atomic structure:
Cell: 4.995 4.995 5.779 Å, 90.00 90.00 120.00°
Atoms (fractional coordinates):
U  0.000  0.000  0.000
U  0.000  0.000  0.500
Sn  0.333  0.667  0.250
Sn  0.667  0.333  0.750
Pd  0.333  0.667  0.750
Pd  0.667  0.333  0.250

For USnPd2, a DFT-relaxed cell (GGA-PBE, the Materials Project) gives the theoretical powder diffraction line list in this record (Cu Kα).

Most intense lines, 10° ≤ 2θ ≤ 90°, by angle:
2θ (°)	d (Å)	I/Imax
25.56	3.486	15.9
28.94	3.085	23.1
34.99	2.564	51.3
35.22	2.548	14.8
36.62	2.454	100.0
37.66	2.389	30.9
39.49	2.282	17.6
40.77	2.213	27.2
63.83	1.458	18.4
73.36	1.291	12.3

Atomic structure:
Cell: 7.723 5.129 8.097 Å, 90.00 90.00 90.00°
Atoms (fractional coordinates):
U  0.125  0.250  0.226
U  0.375  0.750  0.726
U  0.625  0.250  0.274
U  0.875  0.750  0.774
Sn  0.121  0.250  0.835
Sn  0.379  0.750  0.335
Sn  0.621  0.250  0.665
Sn  0.879  0.750  0.165
Pd  0.063  0.750  0.468
Pd  0.204  0.750  0.039
Pd  0.296  0.250  0.539
Pd  0.437  0.250  0.968
Pd  0.563  0.750  0.032
Pd  0.704  0.750  0.461
Pd  0.796  0.250  0.961
Pd  0.937  0.250  0.532

For USnPd, a DFT-relaxed cell (GGA-PBE, the Materials Project) gives the theoretical powder diffraction line list in this record (Cu Kα).

Most intense lines, 10° ≤ 2θ ≤ 90°, by angle:
2θ (°)	d (Å)	I/Imax
20.07	4.424	22.7
35.13	2.554	100.0
38.27	2.352	87.5
52.92	1.730	34.9
63.03	1.475	18.9
65.12	1.432	38.3
67.47	1.388	4.9
74.26	1.277	12.0
78.40	1.220	19.8
86.77	1.122	18.8

Atomic structure:
Cell: 5.109 5.109 5.553 Å, 90.00 90.00 120.00°
Atoms (fractional coordinates):
U  0.000  0.000  0.237
U  0.000  0.000  0.763
Sn  0.333  0.667  0.498
Sn  0.667  0.333  0.502
Pd  0.333  0.667  0.998
Pd  0.667  0.333  0.002